This entry pairs a crystal structure of Ac2Nd6Sm with its theoretical powder XRD pattern. Radiation: Cu Ka. Structure: a structure optimized by DFT (PBE).

Structure:
a = 9.379 Å, b = 9.379 Å, c = 9.340 Å
α = 112.92°, β = 112.92°, γ = 66.46°
Atoms (fractional coordinates):
Ac: 0.011 0.174 0.178
Ac: 0.174 0.011 0.678
Ac: 0.826 0.989 0.322
Ac: 0.989 0.826 0.822
Nd: 0.089 0.581 0.418
Nd: 0.172 0.350 0.013
Nd: 0.340 0.496 0.835
Nd: 0.350 0.172 0.513
Nd: 0.419 0.911 0.082
Nd: 0.496 0.340 0.335
Nd: 0.504 0.660 0.665
Nd: 0.581 0.089 0.918
Nd: 0.650 0.828 0.487
Nd: 0.660 0.504 0.165
Nd: 0.828 0.650 0.987
Nd: 0.911 0.419 0.582
Sm: 0.255 0.745 0.250
Sm: 0.745 0.255 0.750

Principal peaks in the range 10 to 90 degrees two-theta, sorted by position:
- 2θ = 29.87°, intensity 35
- 2θ = 30.06°, intensity 100
- 2θ = 30.26°, intensity 60
- 2θ = 43.19°, intensity 22
- 2θ = 53.13°, intensity 13
- 2θ = 53.45°, intensity 19